Computed X-ray powder pattern of ThCo2Ge4 for Cu Ka, from a structure optimized by DFT (GGA-PBE).
Neutral-atom scattering factors, no anomalous dispersion.

Structure:
Cell: 17.199 4.180 6.500 Å, 90.00 90.00 90.00°
Sites, in units of the cell vectors:
Th1 0.139 0.250 0.009
Th2 0.361 0.750 0.509
Th3 0.639 0.250 0.491
Th4 0.861 0.750 0.991
Co1 0.030 0.750 0.751
Co2 0.210 0.250 0.490
Co3 0.290 0.750 0.990
Co4 0.470 0.250 0.251
Co5 0.530 0.750 0.749
Co6 0.710 0.250 0.010
Co7 0.790 0.750 0.510
Co8 0.970 0.250 0.249
Ge1 0.028 0.750 0.148
Ge2 0.067 0.250 0.518
Ge3 0.178 0.750 0.692
Ge4 0.200 0.750 0.292
Ge5 0.300 0.250 0.792
Ge6 0.322 0.250 0.192
Ge7 0.433 0.750 0.018
Ge8 0.472 0.250 0.648
Ge9 0.528 0.750 0.352
Ge10 0.567 0.250 0.982
Ge11 0.678 0.750 0.808
Ge12 0.700 0.750 0.208
Ge13 0.800 0.250 0.708
Ge14 0.822 0.250 0.308
Ge15 0.933 0.750 0.482
Ge16 0.972 0.250 0.852

Largest 12 diffraction maxima, low angle first, 2θ from 10° to 80°:
h k l, d [Å], 2θ/deg, I_rel
1 0 1, 6.080, 14.57, 11
2 1 0, 3.760, 23.67, 12
4 0 2, 2.593, 34.60, 13
2 1 2, 2.459, 36.55, 100
6 1 0, 2.364, 38.06, 15
7 0 1, 2.298, 39.20, 21
0 2 0, 2.090, 43.29, 22
3 0 3, 2.027, 44.71, 11
0 0 4, 1.626, 56.60, 14
7 2 1, 1.546, 59.81, 13
12 1 0, 1.356, 69.31, 18
2 3 2, 1.267, 74.98, 12

Computed X-ray powder pattern of ThCo3Ge for Cu Ka, from a structure optimized by DFT (GGA-PBE).
Neutral-atom scattering factors, no anomalous dispersion.

Structure:
Cell: 5.481 7.043 4.372 Å, 90.00 90.00 90.00°
Sites, in units of the cell vectors:
Th1 0.000 0.000 0.000
Th2 0.500 0.500 0.000
Co1 0.000 0.500 0.000
Co2 0.250 0.250 0.500
Co3 0.250 0.750 0.500
Co4 0.500 0.000 0.000
Co5 0.750 0.250 0.500
Co6 0.750 0.750 0.500
Ge1 0.000 0.500 0.500
Ge2 0.500 0.000 0.500

Largest 12 diffraction maxima, low angle first, 2θ from 10° to 80°:
h k l, d [Å], 2θ/deg, I_rel
0 2 0, 3.522, 25.29, 35
1 1 1, 3.075, 29.04, 100
0 2 1, 2.742, 32.66, 94
2 0 1, 2.322, 38.78, 47
0 0 2, 2.186, 41.30, 41
2 2 0, 2.163, 41.77, 83
1 3 1, 1.936, 46.94, 32
0 4 0, 1.761, 51.93, 21
2 2 2, 1.537, 60.19, 55
2 4 1, 1.403, 66.66, 18
4 0 0, 1.371, 68.43, 27
4 2 1, 1.226, 77.93, 18